For NiP3O9, a structure optimized by DFT (GGA+U) gives the simulated powder diffraction line list in this record (Cu Kα (λ = 1.5418 Å)).
No peak broadening, texture or thermal motion is included.

Principal peaks in the range 2θ from 10° to 90°, sorted by position:
- d = 5.498 Å, 2θ = 16.1°, intensity 100, (1 0 1)
- d = 4.916 Å, 2θ = 18.0°, intensity 39, (1 1 0)
- d = 2.938 Å, 2θ = 30.4°, intensity 25, (3 -1 1)
- d = 2.838 Å, 2θ = 31.5°, intensity 7, (3 0 0)
- d = 2.749 Å, 2θ = 32.6°, intensity 24, (2 0 2)
- d = 2.400 Å, 2θ = 37.5°, intensity 6, (0 0 3)
- d = 2.244 Å, 2θ = 40.2°, intensity 8, (4 -3 1)
- d = 1.975 Å, 2θ = 46.0°, intensity 10, (4 -1 2)
- d = 1.833 Å, 2θ = 49.8°, intensity 7, (3 0 3)
- d = 1.469 Å, 2θ = 63.3°, intensity 7, (5 -1 3)

Crystal structure
a b c (Å): 9.8325 9.8325 7.2002
angles (deg): 90.00 90.00 120.00
Space group R3 (No. 146, hexagonal axes)
Asymmetric unit:
Ni  0.0000  0.0000  0.0000 x3
P  0.0087  0.5741  0.4742 x9
O  0.0155  0.7108  0.6060 x9
O  0.0714  0.1865  0.8456 x9
O  0.1847  0.0937  0.1605 x9